No. 1
This entry pairs a crystal structure of Nd2CuSi with its simulated powder diffraction line list. Radiation: CuKα. Structure: a structure optimized by DFT (GGA-PBE).
Intensities are scaled so that the largest is 100.

Principal peaks in the range 5 to 70 degrees two-theta, in order of falling intensity:
Position (°2θ), d [Å], Rel. int.
32.00, 2.797, 100
31.62, 2.830, 97
28.62, 3.119, 90
38.86, 2.317, 76
35.06, 2.559, 76
26.16, 3.407, 59
37.90, 2.374, 55
27.39, 3.256, 45
55.21, 1.664, 42
43.74, 2.070, 42
52.14, 1.754, 39
59.23, 1.560, 29

Cell lengths 4.1393, 7.7554, 5.9965 Å; angles 90.00, 90.00, 90.00 degrees
Sites, in units of the cell vectors:
Nd 0.0000 0.0587 0.0000
Nd 0.0000 0.5903 0.2347
Nd 0.5000 0.4097 0.7347
Nd 0.5000 0.9413 0.5000
Cu 0.0000 0.2265 0.4514
Cu 0.5000 0.7735 0.9514
Si 0.0000 0.7035 0.7327
Si 0.5000 0.2965 0.2327



No. 2
This entry pairs a crystal structure of TmNi2 with its simulated powder diffraction line list. Radiation: CuKα. Structure: a structure optimized by DFT (GGA-PBE).
Intensities are scaled so that the largest is 100.

Principal peaks in the range 5 to 70 degrees two-theta, in order of falling intensity:
Position (°2θ), d [Å], Rel. int.
42.36, 2.134, 100
35.89, 2.502, 66
68.94, 1.362, 30
64.50, 1.445, 24
21.75, 4.086, 15
44.34, 2.043, 14
56.69, 1.624, 4
51.66, 1.769, 1

Cell lengths 5.0046, 5.0046, 5.0046 Å; angles 60.00, 60.00, 60.00 degrees
Sites, in units of the cell vectors:
Tm 0.1250 0.1250 0.1250
Tm 0.8750 0.8750 0.8750
Ni 0.0000 0.5000 0.5000
Ni 0.5000 0.0000 0.5000
Ni 0.5000 0.5000 0.0000
Ni 0.5000 0.5000 0.5000



No. 3
This entry pairs a crystal structure of Na4Al3Cd with its simulated powder diffraction line list. Radiation: CuKα. Structure: a structure optimized by DFT (GGA-PBE).
Intensities are scaled so that the largest is 100.

Principal peaks in the range 5 to 70 degrees two-theta, in order of falling intensity:
Position (°2θ), d [Å], Rel. int.
36.00, 2.495, 100
36.24, 2.479, 49
21.86, 4.065, 37
65.03, 1.434, 32
12.46, 7.104, 25
17.89, 4.957, 25
28.39, 3.143, 18
64.55, 1.444, 16
52.19, 1.753, 16
30.97, 2.887, 13
42.73, 2.116, 12
25.41, 3.505, 11

Cell lengths 4.9572, 4.9572, 7.1041 Å; angles 90.00, 90.00, 90.00 degrees
Sites, in units of the cell vectors:
Na 0.0000 0.0000 0.0000
Na 0.0000 0.5000 0.7505
Na 0.5000 0.0000 0.2495
Na 0.5000 0.5000 0.5000
Al 0.0000 0.0000 0.5000
Al 0.0000 0.5000 0.2578
Al 0.5000 0.0000 0.7422
Cd 0.5000 0.5000 0.0000



No. 4
This entry pairs a crystal structure of Dy2Tm2CF5 with its simulated powder diffraction line list. Radiation: CuKα. Structure: a structure optimized by DFT (GGA-PBE).
Intensities are scaled so that the largest is 100.

Principal peaks in the range 5 to 70 degrees two-theta, in order of falling intensity:
Position (°2θ), d [Å], Rel. int.
37.36, 2.407, 100
32.55, 2.751, 92
13.89, 6.377, 74
39.34, 2.290, 53
22.02, 4.036, 44
31.07, 2.878, 41
52.84, 1.732, 36
24.89, 3.578, 35
29.15, 3.063, 34
34.84, 2.575, 33
38.59, 2.333, 28
12.89, 6.870, 26

Cell lengths 7.5103, 7.5103, 6.7851 Å; angles 109.43, 109.43, 26.48 degrees
Sites, in units of the cell vectors:
Dy 0.0013 0.0013 0.2610
Dy 0.9987 0.9987 0.7390
Tm 0.3341 0.3341 0.3669
Tm 0.6659 0.6659 0.6331
C 0.5000 0.5000 0.5000
F 0.1784 0.1784 0.4084
F 0.1776 0.1776 0.8515
F 0.5000 0.5000 0.0000
F 0.8224 0.8224 0.1485
F 0.8216 0.8216 0.5916



No. 5
This entry pairs a crystal structure of TaCd2HgF6 with its simulated powder diffraction line list. Radiation: CuKα. Structure: a structure optimized by DFT (GGA-PBE).
Intensities are scaled so that the largest is 100.

Principal peaks in the range 5 to 70 degrees two-theta, in order of falling intensity:
Position (°2θ), d [Å], Rel. int.
44.12, 2.052, 100
36.21, 2.481, 66
20.67, 4.297, 64
24.36, 3.654, 63
32.16, 2.784, 40
63.21, 1.471, 35
38.32, 2.349, 32
12.11, 7.308, 31
65.13, 1.432, 19
49.20, 1.852, 14
62.59, 1.484, 13
24.03, 3.704, 12

Cell lengths 4.9615, 4.9615, 7.3080 Å; angles 90.00, 90.00, 120.00 degrees
Sites, in units of the cell vectors:
Ta 0.0000 0.0000 0.0000
Cd 0.3333 0.6667 0.5000
Cd 0.6667 0.3333 0.5000
Hg 0.0000 0.0000 0.5000
F 0.0000 0.3148 0.8459
F 0.0000 0.6852 0.1541
F 0.3148 0.0000 0.8459
F 0.3148 0.3148 0.1541
F 0.6852 0.0000 0.1541
F 0.6852 0.6852 0.8459



No. 6
This entry pairs a crystal structure of Cs2LiTmCl6 with its simulated powder diffraction line list. Radiation: CuKα. Structure: a structure optimized by DFT (GGA-PBE).
Intensities are scaled so that the largest is 100.

Principal peaks in the range 5 to 70 degrees two-theta, in order of falling intensity:
Position (°2θ), d [Å], Rel. int.
24.08, 3.696, 100
34.31, 2.614, 66
42.35, 2.134, 46
49.31, 1.848, 45
14.68, 6.036, 43
29.60, 3.018, 29
28.31, 3.152, 27
66.96, 1.398, 16
61.45, 1.509, 15
55.64, 1.652, 14
37.50, 2.398, 13
67.04, 1.396, 8

Cell lengths 7.3959, 7.3959, 7.3959 Å; angles 120.09, 120.09, 89.85 degrees
Sites, in units of the cell vectors:
Cs 0.2500 0.7500 0.5000
Cs 0.7500 0.2500 0.5000
Li 0.0000 0.0000 0.0000
Tm 0.5000 0.5000 0.0000
Cl 0.2515 0.2515 0.0000
Cl 0.2506 0.2506 0.5012
Cl 0.2506 0.7494 0.0000
Cl 0.7494 0.2506 0.0000
Cl 0.7485 0.7485 0.0000
Cl 0.7494 0.7494 0.4988